Computed X-ray diffraction stick pattern
Compound: NaHfCrO4
Radiation: Cu Kα, 1.54184 Å
Structure: DFT lattice parameters and positions (PBE+U)

Structural model:
```
NaHfCrO4
1.0
-3.129 3.229 4.429
3.129 -3.229 4.429
3.129 3.229 -4.429
Na Hf Cr O
2 2 2 8
Cartesian
0.000 1.614 1.144 Na
3.129 1.614 3.285 Na
3.129 0.000 0.000 Hf
0.000 0.000 4.429 Hf
1.565 1.614 -2.215 Cr
1.565 -1.614 2.215 Cr
3.129 -0.276 2.073 O
3.129 2.953 -2.073 O
1.782 1.614 -0.138 O
4.477 1.614 -0.138 O
-1.348 1.614 4.567 O
1.348 1.614 4.567 O
0.000 0.276 6.502 O
0.000 3.504 2.356 O
```

Main lines, in order of rising 2θ (2θ from 15° to 90°):
Position (°2θ)  intensity
17.35  100
20.05  17
32.81  52
33.56  25
34.37  19
35.11  17
40.13  29
40.74  14
53.29  17
58.52  24